Structure and computed powder diffraction line list of ScBiPd2 (the PBE geometry in Alexandria; λ = 1.5418 Å (Cu Kα)).
No peak broadening, texture or thermal motion is included.

Peak list (10 most intense, 5 to 70 degrees two-theta, sorted by position)
d = 6.528 Å, 2θ 13.56, rel. 17
d = 3.074 Å, 2θ 29.05, rel. 42
d = 2.464 Å, 2θ 36.47, rel. 60
d = 2.382 Å, 2θ 37.77, rel. 100
d = 2.176 Å, 2θ 41.50, rel. 8
d = 1.742 Å, 2θ 52.53, rel. 21
d = 1.631 Å, 2θ 56.40, rel. 19
d = 1.516 Å, 2θ 61.15, rel. 11
d = 1.406 Å, 2θ 66.50, rel. 38
d = 1.360 Å, 2θ 69.04, rel. 21

Crystal structure
```
ScBiPd2
1.0
3.484 0.000 0.000
0.000 3.484 0.000
0.000 0.000 6.528
Sc Bi Pd
1 1 2
Cartesian
0.000 0.000 0.000
0.000 0.000 3.264
1.742 1.742 1.416
1.742 1.742 5.113
```

Structure and computed powder diffraction line list of Nd5S4 (the PBE geometry in Alexandria; λ = 1.5418 Å (Cu Kα)).
No peak broadening, texture or thermal motion is included.

Peak list (10 most intense, 5 to 70 degrees two-theta, sorted by position)
d = 16.467 Å, 2θ 5.37, rel. 1
d = 3.297 Å, 2θ 27.04, rel. 91
d = 3.135 Å, 2θ 28.47, rel. 1
d = 2.855 Å, 2θ 31.33, rel. 100
d = 2.235 Å, 2θ 40.35, rel. 1
d = 2.019 Å, 2θ 44.89, rel. 72
d = 1.722 Å, 2θ 53.20, rel. 43
d = 1.649 Å, 2θ 55.76, rel. 25
d = 1.428 Å, 2θ 65.37, rel. 11
d = 1.356 Å, 2θ 69.29, rel. 1

Crystal structure
```
Nd5S4
1.0
2.020 1.166 16.467
-2.020 1.166 16.467
0.000 -2.333 16.467
Nd S
5 4
Cartesian
0.000 0.000 0.000
0.000 0.000 9.819
0.000 0.000 19.873
0.000 0.000 29.527
0.000 0.000 39.580
0.000 0.000 5.028
0.000 0.000 14.790
0.000 0.000 34.610
0.000 0.000 44.372
```

Structure and computed powder diffraction line list of UTlCuI6 (the PBE geometry in Alexandria; λ = 1.5418 Å (Cu Kα)).
No peak broadening, texture or thermal motion is included.

Peak list (10 most intense, 5 to 70 degrees two-theta, sorted by position)
d = 7.861 Å, 2θ 11.26, rel. 17
d = 5.040 Å, 2θ 17.60, rel. 79
d = 3.416 Å, 2θ 26.09, rel. 92
d = 2.729 Å, 2θ 32.82, rel. 100
d = 2.367 Å, 2θ 38.01, rel. 27
d = 2.189 Å, 2θ 41.23, rel. 49
d = 2.156 Å, 2θ 41.91, rel. 24
d = 1.708 Å, 2θ 53.67, rel. 22
d = 1.463 Å, 2θ 63.62, rel. 18
d = 1.347 Å, 2θ 69.85, rel. 19

Crystal structure
```
UTlCuI6
1.0
7.584 0.000 0.000
-3.792 6.568 0.000
0.000 0.000 15.722
U Tl Cu I
2 2 2 12
Cartesian
0.000 4.379 3.931
3.792 2.189 11.792
0.000 0.000 0.000
0.000 0.000 7.861
0.000 4.379 11.792
3.792 2.189 3.931
-1.302 2.415 10.083
-2.352 4.233 13.500
1.302 2.415 13.500
-1.050 6.488 10.083
2.743 0.080 2.222
1.440 2.335 5.639
2.352 4.233 10.083
1.050 6.488 13.500
4.842 0.080 5.639
2.490 4.153 2.222
6.144 2.335 2.222
5.094 4.153 5.639
```

Structure and computed powder diffraction line list of Dy2Zn5Pd5 (the PBE geometry in Alexandria; λ = 1.5418 Å (Cu Kα)).
No peak broadening, texture or thermal motion is included.

Peak list (10 most intense, 5 to 70 degrees two-theta, sorted by position)
d = 4.390 Å, 2θ 20.23, rel. 14
d = 3.155 Å, 2θ 28.29, rel. 26
d = 2.633 Å, 2θ 34.05, rel. 29
d = 2.612 Å, 2θ 34.33, rel. 18
d = 2.268 Å, 2θ 39.74, rel. 17
d = 2.258 Å, 2θ 39.92, rel. 100
d = 2.245 Å, 2θ 40.17, rel. 42
d = 2.195 Å, 2θ 41.12, rel. 40
d = 1.686 Å, 2θ 54.42, rel. 15
d = 1.430 Å, 2θ 65.27, rel. 23

Crystal structure
```
Dy2Zn5Pd5
1.0
4.390 0.000 0.000
0.000 5.224 0.000
0.000 0.000 9.147
Dy Zn Pd
2 5 5
Cartesian
0.000 0.000 0.000
0.000 2.612 4.573
2.195 0.000 4.573
2.195 1.308 2.286
2.195 1.308 6.861
2.195 3.916 2.286
2.195 3.916 6.861
0.000 0.000 3.045
0.000 0.000 6.101
0.000 2.612 1.636
0.000 2.612 7.511
2.195 2.612 0.000
```